Starting from a cell relaxed with GGA-PBE, the XRD peak list of CsDy2Cu3Se5 was simulated for Cu Ka.
Intensities are scaled so that the largest is 100.

Structural model:
Lattice parameters (Å, degrees): 7.621 7.621 17.342 90.00 90.00 148.57
Positions (direct):
Cs1 0.061 0.939 0.750
Cs2 0.939 0.061 0.250
Dy1 0.192 0.808 0.091
Dy2 0.192 0.808 0.409
Dy3 0.808 0.192 0.591
Dy4 0.808 0.192 0.909
Cu1 0.344 0.656 0.750
Cu2 0.416 0.584 0.031
Cu3 0.416 0.584 0.469
Cu4 0.584 0.416 0.531
Cu5 0.584 0.416 0.969
Cu6 0.656 0.344 0.250
Se1 0.168 0.832 0.571
Se2 0.168 0.832 0.929
Se3 0.238 0.762 0.250
Se4 0.439 0.561 0.613
Se5 0.439 0.561 0.887
Se6 0.561 0.439 0.113
Se7 0.561 0.439 0.387
Se8 0.762 0.238 0.750
Se9 0.832 0.168 0.071
Se10 0.832 0.168 0.429

Top 6 peaks for 10° ≤ 2θ ≤ 80°, by intensity:
two_theta, I_rel
28.8, 100.0
30.9, 86.1
30.1, 72.6
46.6, 70.9
35.2, 67.2
43.9, 66.2

Starting from a cell relaxed with GGA-PBE, the XRD peak list of Li4TaNbO6 was simulated for Cu Ka.
Intensities are scaled so that the largest is 100.

Structural model:
Lattice parameters (Å, degrees): 5.140 5.140 5.207 99.12 99.12 119.06
Positions (direct):
Li1 0.000 0.000 0.000
Li2 0.344 0.656 0.000
Li3 0.684 0.316 0.000
Li4 0.842 0.158 0.500
Ta1 0.491 0.509 0.500
Nb1 0.190 0.810 0.500
O1 0.088 0.399 0.234
O2 0.278 0.254 0.732
O3 0.409 0.076 0.271
O4 0.601 0.912 0.766
O5 0.746 0.722 0.268
O6 0.924 0.591 0.729

Top 6 peaks for 10° ≤ 2θ ≤ 80°, by intensity:
two_theta, I_rel
17.9, 100.0
20.5, 58.0
23.3, 44.2
42.6, 42.8
35.4, 34.0
62.0, 25.2

Starting from a cell relaxed with GGA-PBE, the XRD peak list of AlMo5 was simulated for Cu Ka.
Intensities are scaled so that the largest is 100.

Structural model:
Lattice parameters (Å, degrees): 5.112 5.112 4.674 90.00 90.00 120.00
Positions (direct):
Al1 0.000 0.000 0.000
Mo1 0.000 0.500 0.500
Mo2 0.333 0.667 0.000
Mo3 0.500 0.000 0.500
Mo4 0.500 0.500 0.500
Mo5 0.667 0.333 0.000

Top 6 peaks for 10° ≤ 2θ ≤ 80°, by intensity:
two_theta, I_rel
40.2, 100.0
45.3, 90.5
20.1, 85.0
38.5, 49.0
40.8, 23.2
66.4, 21.7

Number 1 is which compound?
CsDy2Cu3Se5

Please write out number 1 again, unchanged.
Starting from a cell relaxed with GGA-PBE, the XRD peak list of CsDy2Cu3Se5 was simulated for Cu Ka.
Intensities are scaled so that the largest is 100.

Structural model:
Lattice parameters (Å, degrees): 7.621 7.621 17.342 90.00 90.00 148.57
Positions (direct):
Cs1 0.061 0.939 0.750
Cs2 0.939 0.061 0.250
Dy1 0.192 0.808 0.091
Dy2 0.192 0.808 0.409
Dy3 0.808 0.192 0.591
Dy4 0.808 0.192 0.909
Cu1 0.344 0.656 0.750
Cu2 0.416 0.584 0.031
Cu3 0.416 0.584 0.469
Cu4 0.584 0.416 0.531
Cu5 0.584 0.416 0.969
Cu6 0.656 0.344 0.250
Se1 0.168 0.832 0.571
Se2 0.168 0.832 0.929
Se3 0.238 0.762 0.250
Se4 0.439 0.561 0.613
Se5 0.439 0.561 0.887
Se6 0.561 0.439 0.113
Se7 0.561 0.439 0.387
Se8 0.762 0.238 0.750
Se9 0.832 0.168 0.071
Se10 0.832 0.168 0.429

Top 6 peaks for 10° ≤ 2θ ≤ 80°, by intensity:
two_theta, I_rel
28.8, 100.0
30.9, 86.1
30.1, 72.6
46.6, 70.9
35.2, 67.2
43.9, 66.2